Diffraction record for BaSmEuVO6. The XRD peak list is computed, not measured: it uses a PBE+U-relaxed structure and Cu Kα.
Lines closer than 0.1° are merged.

Most intense lines, 2θ = 5–70°, in order of rising 2θ:
two_theta  I/Imax
18.21  8
21.06  1
29.95  100
35.28  7
36.90  6
42.87  30
46.94  4
48.24  1
53.18  40
56.69  2
62.25  18
65.44  2

Structural model:
Lattice parameters (Å, degrees): 5.9660 5.9660 5.9660 60.00 60.00 60.00
Positions (direct):
1 Ba 0.0000 0.0000 0.0000
2 Sm 0.2500 0.2500 0.2500
3 Eu 0.5000 0.5000 0.5000
4 V 0.7500 0.7500 0.7500
5 O 0.5215 0.5215 0.9785
6 O 0.5215 0.9785 0.5215
7 O 0.5215 0.9785 0.9785
8 O 0.9785 0.5215 0.5215
9 O 0.9785 0.5215 0.9785
10 O 0.9785 0.9785 0.5215

=====

Diffraction record for CoH2O2. The XRD peak list is computed, not measured: it uses a PBE+U-relaxed structure and Cu Kα.
Lines closer than 0.1° are merged.

Most intense lines, 2θ = 5–70°, in order of rising 2θ:
two_theta  I/Imax
18.47  100
32.10  26
32.64  7
36.88  35
37.72  60
49.11  12
49.43  13
50.82  20
56.88  8
57.91  15
60.38  17
66.59  9

Structural model:
Lattice parameters (Å, degrees): 3.1886 3.1886 4.8098 92.54 92.54 61.02
Positions (direct):
1 Co 0.0000 0.0000 0.0000
2 H 0.2057 0.3828 0.5851
3 H 0.6172 0.7943 0.4149
4 O 0.3025 0.3297 0.7806
5 O 0.6703 0.6975 0.2194

=====

> What is the formula in the second record?

CoH2O2